No. 1
Simulated powder diffractogram
Compound: PmZnHg2
Radiation: Cu Kα (weighted mean of Kα1 and Kα2)
Structure: DFT lattice parameters and positions (GGA-PBE)
No peak broadening, texture or thermal motion is included.

Peak list (10 most intense, 10 to 90 degrees two-theta, by intensity)
| 2θ (°) | I_rel |
| --- | --- |
| 35.21 | 100 |
| 63.18 | 37 |
| 50.64 | 18 |
| 85.10 | 17 |
| 74.44 | 12 |
| 24.70 | 10 |
| 57.13 | 5 |
| 21.35 | 3 |
| 43.48 | 3 |
| 79.82 | 2 |

abc: 7.210 7.210 7.210
angles: 90.00 90.00 90.00
Space group Fm-3m (No. 225)
Symmetry-distinct sites (fractional):
Pm1 0.000 0.000 0.000 (multiplicity 4)
Zn1 0.000 0.000 0.500 (multiplicity 4)
Hg1 0.250 0.250 0.250 (multiplicity 8)

***

No. 2
Simulated powder diffractogram
Compound: Ba2B2AsH3F18
Radiation: Cu Kα (weighted mean of Kα1 and Kα2)
Structure: DFT lattice parameters and positions (GGA-PBE)
No peak broadening, texture or thermal motion is included.

Peak list (10 most intense, 10 to 90 degrees two-theta, by intensity)
| 2θ (°) | I_rel |
| --- | --- |
| 24.72 | 100 |
| 25.39 | 96 |
| 15.40 | 66 |
| 44.34 | 37 |
| 39.57 | 34 |
| 38.89 | 30 |
| 48.25 | 30 |
| 42.17 | 28 |
| 17.65 | 21 |
| 32.44 | 18 |

abc: 7.0155 7.0155 17.8932
angles: 90.00 90.00 120.00
Space group P6_3/mmc (No. 194)
Symmetry-distinct sites (fractional):
Ba1 0.3333 0.6667 0.1233 (multiplicity 4)
B1 0.3333 0.6667 0.6090 (multiplicity 4)
As1 0.0000 0.0000 0.0000 (multiplicity 2)
H1 0.1112 0.2224 0.2500 (multiplicity 6)
F1 0.0000 0.0000 0.2500 (multiplicity 2)
F2 0.1134 0.5567 0.6350 (multiplicity 12)
F3 0.1188 0.2376 0.0573 (multiplicity 12)
F4 0.1948 0.3896 0.2500 (multiplicity 6)
F5 0.3333 0.6667 0.5293 (multiplicity 4)